Entry 1:
Sm12Y7Sc: simulated X-ray powder pattern (Cu Kα (λ = 1.5418 Å)), based on a DFT-relaxed cell (PBE, Alexandria).

Atomic structure:
Unit cell a=13.3444 b=13.3444 c=12.8423 alpha=90.00 beta=90.00 gamma=120.00
Space group R-3m (No. 166, hexagonal axes)
Asymmetric unit:
1 Sm 0.0000 0.2610 0.0000 (multiplicity 18)
2 Sm 0.0887 0.1775 0.7663 (multiplicity 18)
3 Y 0.0000 0.0000 0.0000 (multiplicity 3)
4 Y 0.0494 0.5247 0.1158 (multiplicity 18)
5 Sc 0.0000 0.0000 0.5000 (multiplicity 3)

Most intense lines, 2θ from 10° to 90°, sorted by position:
2theta	Rel. int.
28.86	331
31.21	1000
31.75	766
34.03	340
48.67	161
55.05	155
56.25	234
57.65	111
57.94	121
83.83	127

=====

Entry 2:
Sm2Y6Sc: simulated X-ray powder pattern (Cu Kα (λ = 1.5418 Å)), based on a DFT-relaxed cell (PBE, Alexandria).

Atomic structure:
Unit cell a=3.5857 b=3.5857 c=26.0384 alpha=90.00 beta=90.00 gamma=120.00
Space group P-6m2 (No. 187)
Asymmetric unit:
1 Sm 0.0000 0.0000 0.1743 (multiplicity 2)
2 Y 0.0000 0.0000 0.3980 (multiplicity 2)
3 Y 0.6667 0.3333 0.0649 (multiplicity 2)
4 Y 0.6667 0.3333 0.2879 (multiplicity 2)
5 Sc 0.6667 0.3333 0.5000 (multiplicity 1)

Most intense lines, 2θ from 10° to 90°, sorted by position:
2theta	Rel. int.
28.75	434
30.58	381
30.91	364
31.93	379
33.60	1000
42.72	228
50.93	337
57.78	291
60.78	304
62.41	160

=====

Entry 3:
Sm4Y4Sc: simulated X-ray powder pattern (Cu Kα (λ = 1.5418 Å)), based on a DFT-relaxed cell (PBE, Alexandria).

Atomic structure:
Unit cell a=10.7027 b=10.7027 c=5.0323 alpha=90.00 beta=90.00 gamma=90.00
Space group I4/mmm (No. 139)
Asymmetric unit:
1 Sm 0.0000 0.3312 0.0000 (multiplicity 8)
2 Y 0.1640 0.1640 0.5000 (multiplicity 8)
3 Sc 0.0000 0.0000 0.0000 (multiplicity 2)

Most intense lines, 2θ from 10° to 90°, sorted by position:
2theta	Rel. int.
11.69	99
25.69	87
30.72	1000
35.62	502
51.26	350
60.92	275
61.04	137
63.98	118
83.65	111
86.24	103

=====

Entry 4:
Sm3Y12Sc: simulated X-ray powder pattern (Cu Kα (λ = 1.5418 Å)), based on a DFT-relaxed cell (PBE, Alexandria).

Atomic structure:
Unit cell a=5.0441 b=5.0441 c=20.1434 alpha=90.00 beta=90.00 gamma=90.00
Space group P4/mmm (No. 123)
Asymmetric unit:
1 Sm 0.0000 0.0000 0.0000 (multiplicity 1)
2 Sm 0.0000 0.0000 0.2524 (multiplicity 2)
3 Y 0.0000 0.5000 0.1268 (multiplicity 4)
4 Y 0.0000 0.5000 0.3798 (multiplicity 4)
5 Y 0.5000 0.5000 0.0000 (multiplicity 1)
6 Y 0.5000 0.5000 0.2536 (multiplicity 2)
7 Y 0.5000 0.5000 0.5000 (multiplicity 1)
8 Sc 0.0000 0.0000 0.5000 (multiplicity 1)

Most intense lines, 2θ from 10° to 90°, sorted by position:
2theta	Rel. int.
17.59	18
30.72	1000
35.62	500
51.25	344
60.95	401
63.97	115
75.37	36
83.60	159
86.25	101
86.38	48